This entry pairs a crystal structure of Ti3O5 with its computed powder diffraction line list. Radiation: Cu Kα, 1.54184 Å. Structure: a crystal structure in the Materials Project, relaxed with PBE.
Peak positions follow from Bragg's law for the DFT cell and can differ from measured ones.

Main lines, low angle first (2θ = 10–90°):
2θ (°), d/Å, I_rel
18.79, 4.723, 59
26.12, 3.412, 77
30.31, 2.949, 77
33.51, 2.675, 100
35.43, 2.533, 37
36.21, 2.480, 59
44.55, 2.034, 28
51.63, 1.770, 46
52.46, 1.744, 59
54.41, 1.686, 60
64.12, 1.452, 44
66.83, 1.400, 35

Structure:
abc: 5.6943 5.6943 7.2538
angles: 109.73 109.73 52.84
Fractional positions:
Ti  0.0000  0.0000  0.0000
Ti  0.0000  0.0000  0.5000
Ti  0.3597  0.3845  0.7817
Ti  0.3845  0.3597  0.2817
Ti  0.6155  0.6403  0.7183
Ti  0.6403  0.6155  0.2183
O  0.0276  0.3520  0.6543
O  0.1877  0.8123  0.7500
O  0.2609  0.5763  0.0586
O  0.3520  0.0276  0.1543
O  0.4237  0.7391  0.4414
O  0.5763  0.2609  0.5586
O  0.6480  0.9724  0.8457
O  0.7391  0.4237  0.9414
O  0.8123  0.1877  0.2500
O  0.9724  0.6480  0.3457